Diffraction record for CeZnNi5. The powder diffractogram is simulated, not measured: it uses a GGA-PBE-relaxed structure and Cu Kα.

Structural model:
Lattice parameters (Å, degrees): 7.9389 4.8148 10.0395 90.00 90.00 90.00
Space group Pnma (No. 62)
One atom of each set of equivalent atoms:
Ce 0.2481 0.2500 0.0570
Zn 0.1423 0.7500 0.8570
Ni 0.0514 0.7500 0.0958
Ni 0.0666 0.0047 0.3066
Ni 0.0961 0.2500 0.5176
Ni 0.1863 0.2500 0.7492

Largest 10 diffraction maxima, by intensity, 2θ from 10° to 90°:
2θ (°), intensity, h k l
39.90, 100, 3 1 1
37.58, 29, 1 0 4
46.66, 29, 4 0 1
47.94, 21, 1 2 3
69.40, 20, 4 1 5
46.80, 19, 2 1 4
37.35, 19, 0 2 0
69.08, 18, 3 3 1
44.95, 18, 2 2 1
41.61, 16, 0 2 2


Diffraction record for CeZn2Ni9. The powder diffractogram is simulated, not measured: it uses a GGA-PBE-relaxed structure and Cu Kα.

Structural model:
Lattice parameters (Å, degrees): 8.0823 8.0823 4.7329 90.00 90.00 90.00
Space group P4/mbm (No. 127)
One atom of each set of equivalent atoms:
Ce 0.0000 0.0000 0.0000
Zn 0.1166 0.3834 0.0000
Ni 0.0000 0.5000 0.5000
Ni 0.0638 0.2092 0.5000
Ni 0.1790 0.6790 0.2427

Largest 10 diffraction maxima, by intensity, 2θ from 10° to 90°:
2θ (°), intensity, h k l
40.09, 100, 3 1 1
45.83, 67, 2 1 2
46.32, 48, 4 1 0
44.36, 41, 2 0 2
44.73, 37, 3 2 1
36.74, 31, 2 2 1
35.11, 19, 3 1 0
71.66, 18, 5 1 2
50.50, 16, 4 2 0
70.09, 16, 3 1 3


Diffraction record for CeZnNi3. The powder diffractogram is simulated, not measured: it uses a GGA-PBE-relaxed structure and Cu Kα.

Structural model:
Lattice parameters (Å, degrees): 4.8857 7.0246 4.7896 90.00 90.00 90.00
Space group Pbam (No. 55)
One atom of each set of equivalent atoms:
Ce 0.0000 0.0000 0.0000
Zn 0.0000 0.5000 0.5000
Ni 0.0000 0.5000 0.0000
Ni 0.0417 0.1710 0.5000

Largest 10 diffraction maxima, by intensity, 2θ from 10° to 90°:
2θ (°), intensity, h k l
37.56, 100, 0 0 2
36.79, 97, 2 0 0
47.03, 93, 1 3 1
31.59, 81, 0 2 1
25.36, 71, 0 2 0
53.59, 63, 2 0 2
49.26, 41, 2 2 1
29.04, 34, 1 1 1
45.21, 33, 2 2 0
45.86, 29, 0 2 2


Diffraction record for CeZn4Ni. The powder diffractogram is simulated, not measured: it uses a GGA-PBE-relaxed structure and Cu Kα.

Structural model:
Lattice parameters (Å, degrees): 7.4240 4.0923 6.7514 90.00 90.00 90.00
Space group Pmma (No. 51)
One atom of each set of equivalent atoms:
Ce 0.2500 0.0000 0.1042
Zn 0.0000 0.0000 0.5000
Zn 0.0565 0.5000 0.7967
Zn 0.2500 0.5000 0.4542
Ni 0.2500 0.0000 0.7227

Largest 10 diffraction maxima, by intensity, 2θ from 10° to 90°:
2θ (°), intensity, h k l
35.25, 100, 2 1 1
36.57, 61, 1 1 2
42.40, 49, 2 1 2
44.27, 43, 0 2 0
41.95, 31, 1 0 3
32.57, 24, 2 1 0
62.62, 18, 1 2 3
49.08, 18, 4 0 0
40.07, 15, 0 0 3
38.76, 14, 3 0 1


Q: Number 2 is which compound?
A: CeZn2Ni9